(1)
Computed PXRD pattern of SmGdCl3 for Cu Kα, 1.54184 Å, from a crystal structure in OQMD, relaxed with GGA-PBE.

Atomic structure:
```
SmGdCl3
1.0
7.7940 -1.9683 0.0000
7.7940 1.9683 0.0000
-4.9850 0.0000 9.0904
Sm Gd Cl
2 2 6
Cartesian
-0.8485 0.0000 4.0812 Sm
11.4515 0.0000 5.0091 Sm
4.5868 0.0000 1.8823 Gd
6.0162 0.0000 7.2081 Gd
2.4633 0.0000 0.0537 Cl
2.3313 0.0000 3.4373 Cl
3.3081 0.0000 6.9715 Cl
7.2949 0.0000 2.1188 Cl
8.2717 0.0000 5.6531 Cl
8.1397 0.0000 9.0366 Cl
```

Most intense lines, 2θ = 10–90°, low angle first:
d 7.447, 11.88 deg, intensity 83.4; d 3.417, 26.08 deg, intensity 29.2; d 3.338, 26.70 deg, intensity 100.0; d 3.119, 28.62 deg, intensity 49.5; d 2.734, 32.75 deg, intensity 50.1; d 2.536, 35.39 deg, intensity 30.3; d 2.513, 35.73 deg, intensity 35.0; d 2.430, 37.00 deg, intensity 41.6; d 2.287, 39.40 deg, intensity 24.5; d 2.003, 45.26 deg, intensity 29.0

(2)
Computed PXRD pattern of Ta4NiTe4 for Cu Kα, 1.54184 Å, from a crystal structure in OQMD, relaxed with GGA-PBE.

Atomic structure:
```
Ta4NiTe4
1.0
10.7898 0.0000 0.0000
0.0000 18.6021 0.0000
0.0000 0.0000 4.7656
Ta Ni Te
16 4 16
Cartesian
0.7082 2.2163 0.0000 Ta
1.0866 16.5461 2.3828 Ta
2.0767 1.0826 2.3828 Ta
2.2373 17.9152 0.0000 Ta
3.1575 8.6141 0.0000 Ta
3.3182 10.3837 2.3828 Ta
4.3082 7.2451 2.3828 Ta
4.6867 11.5174 0.0000 Ta
6.1031 7.0847 0.0000 Ta
6.4815 11.3570 2.3828 Ta
7.4716 8.2184 2.3828 Ta
7.6322 9.9879 0.0000 Ta
8.5524 0.6869 0.0000 Ta
8.7131 17.5194 2.3828 Ta
9.7031 2.0560 2.3828 Ta
10.0816 16.3857 0.0000 Ta
0.0000 0.0000 1.1920 Ni
0.0000 0.0000 3.5736 Ni
5.3949 9.3010 1.1920 Ni
5.3949 9.3010 3.5736 Ni
1.1815 3.8077 2.3828 Te
1.5662 8.0964 2.3828 Te
1.8325 11.1697 0.0000 Te
1.8366 15.0792 0.0000 Te
3.5624 1.8686 0.0000 Te
3.5582 5.7782 0.0000 Te
3.8287 17.3974 2.3828 Te
4.2134 13.1087 2.3828 Te
6.5764 5.4934 2.3828 Te
6.9611 1.2046 2.3828 Te
7.2315 12.8239 0.0000 Te
7.2273 16.7334 0.0000 Te
8.9531 3.5229 0.0000 Te
8.9573 7.4324 0.0000 Te
9.2236 10.5056 2.3828 Te
9.6083 14.7944 2.3828 Te
```

Most intense lines, 2θ = 10–90°, low angle first:
d 5.383, 16.47 deg, intensity 40.6; d 4.660, 19.05 deg, intensity 28.4; d 2.743, 32.64 deg, intensity 56.4; d 2.577, 34.82 deg, intensity 47.7; d 2.527, 35.53 deg, intensity 100.0; d 2.443, 36.79 deg, intensity 37.4; d 2.383, 37.75 deg, intensity 72.1; d 2.330, 38.65 deg, intensity 45.5; d 2.195, 41.12 deg, intensity 68.2; d 2.132, 42.40 deg, intensity 41.4

(3)
Computed PXRD pattern of LaGdHg6 for Cu Kα, 1.54184 Å, from a crystal structure in OQMD, relaxed with GGA-PBE.

Atomic structure:
```
LaGdHg6
1.0
6.6896 0.0000 0.0000
-3.3448 5.7934 0.0000
0.0000 0.0000 5.0615
La Gd Hg
1 1 6
Cartesian
0.0000 0.0000 0.0000 La
0.0000 3.8623 2.5307 Gd
5.0160 2.8960 0.0000 Hg
1.7226 0.9945 2.5307 Hg
3.3448 0.0015 0.0000 Hg
1.6737 2.8960 0.0000 Hg
4.9671 0.9945 2.5307 Hg
3.3448 3.8044 2.5307 Hg
```

Most intense lines, 2θ = 10–90°, low angle first:
d 2.897, 30.87 deg, intensity 24.4; d 2.531, 35.47 deg, intensity 22.7; d 2.514, 35.71 deg, intensity 100.0; d 1.906, 47.72 deg, intensity 14.9; d 1.672, 54.90 deg, intensity 19.6; d 1.458, 63.85 deg, intensity 18.9; d 1.395, 67.08 deg, intensity 21.6; d 1.392, 67.23 deg, intensity 16.1; d 1.257, 75.65 deg, intensity 3.9; d 1.099, 89.10 deg, intensity 8.1

(4)
Computed PXRD pattern of Gd5Ge4 for Cu Kα, 1.54184 Å, from a crystal structure in OQMD, relaxed with GGA-PBE.

Atomic structure:
```
Gd5Ge4
1.0
7.7265 0.0000 0.0000
0.0000 14.8444 0.0000
0.0000 0.0000 7.8098
Gd Ge
20 16
Cartesian
0.1892 1.5057 1.3882 Gd
0.1892 5.9165 1.3882 Gd
0.9529 9.1538 2.6454 Gd
0.9529 13.1128 2.6454 Gd
1.6358 3.7111 3.9134 Gd
2.2274 11.1333 0.0085 Gd
2.9103 1.7316 6.5503 Gd
2.9103 5.6906 6.5503 Gd
3.6741 8.9279 5.2931 Gd
3.6741 13.3387 5.2931 Gd
4.0524 1.5057 2.5167 Gd
4.0524 5.9165 2.5167 Gd
4.8162 9.1538 1.2594 Gd
4.8162 13.1128 1.2594 Gd
5.4990 3.7111 7.8012 Gd
6.0907 11.1333 3.8963 Gd
6.7735 1.7316 5.1643 Gd
6.7735 5.6906 5.1643 Gd
7.5373 8.9279 6.4216 Gd
7.5373 13.3387 6.4216 Gd
0.6317 3.7111 6.9097 Ge
1.3247 11.1333 4.9643 Ge
1.6880 0.6551 4.1599 Ge
1.6880 6.7671 4.1599 Ge
2.1752 8.0773 0.2551 Ge
2.1752 14.1894 0.2551 Ge
2.5386 3.7111 1.0594 Ge
3.2315 11.1333 3.0049 Ge
4.4950 3.7111 4.8049 Ge
5.1879 11.1333 6.7504 Ge
5.5512 0.6551 7.5547 Ge
5.5512 6.7671 7.5547 Ge
6.0385 8.0773 3.6498 Ge
6.0385 14.1894 3.6498 Ge
6.4018 3.7111 2.8455 Ge
7.0947 11.1333 0.9000 Ge
```

Most intense lines, 2θ = 10–90°, low angle first:
d 2.849, 31.40 deg, intensity 100.0; d 2.837, 31.53 deg, intensity 41.7; d 2.746, 32.61 deg, intensity 35.3; d 2.690, 33.31 deg, intensity 44.5; d 2.676, 33.48 deg, intensity 35.0; d 2.532, 35.46 deg, intensity 52.3; d 2.474, 36.31 deg, intensity 29.5; d 2.446, 36.74 deg, intensity 29.3; d 2.434, 36.94 deg, intensity 48.8; d 2.413, 37.26 deg, intensity 25.8

(5)
Computed PXRD pattern of La5MgRe3O16 for Cu Kα, 1.54184 Å, from a crystal structure in OQMD, relaxed with GGA-PBE.

Atomic structure:
```
La5MgRe3O16
1.0
5.6235 0.0000 0.0000
-0.1154 5.6314 0.0000
-0.5738 -0.6229 10.0631
La Mg Re O
5 1 3 16
Cartesian
0.0000 0.0000 0.0000 La
-0.2690 2.4298 7.1052 La
2.4400 5.2929 3.0179 La
2.4944 -0.2843 7.0452 La
5.2034 2.5787 2.9578 La
2.4672 2.5043 5.0315 Mg
-0.2869 -0.3115 5.0315 Re
2.3911 2.4449 1.0715 Re
2.5433 2.5637 8.9916 Re
-0.0037 -0.0003 6.8909 O
0.7856 1.3065 4.6620 O
1.0710 3.8449 1.3529 O
1.1159 1.1179 1.7858 O
1.2763 4.2002 5.0392 O
1.0876 3.8219 8.6878 O
1.1636 1.1281 9.3790 O
2.1262 2.1234 7.0101 O
2.8082 2.8852 3.0530 O
3.7708 3.8804 0.6841 O
3.8468 1.1866 1.3752 O
3.6581 0.8083 5.0239 O
3.8185 3.8907 8.2773 O
3.8634 1.1637 8.7101 O
4.1488 3.7021 5.4011 O
4.9381 5.0088 3.1722 O
```

Most intense lines, 2θ = 10–90°, low angle first:
d 5.035, 17.61 deg, intensity 26.1; d 4.784, 18.55 deg, intensity 44.3; d 3.865, 23.01 deg, intensity 27.3; d 3.141, 28.42 deg, intensity 88.2; d 2.976, 30.03 deg, intensity 67.9; d 2.808, 31.87 deg, intensity 100.0; d 2.663, 33.66 deg, intensity 35.5; d 2.011, 45.08 deg, intensity 60.9; d 1.666, 55.14 deg, intensity 25.0; d 1.626, 56.59 deg, intensity 28.5

(6)
Computed PXRD pattern of DyHo2AgHg3Au2 for Cu Kα, 1.54184 Å, from a crystal structure in OQMD, relaxed with GGA-PBE.

Atomic structure:
```
DyHo2AgHg3Au2
1.0
3.7269 0.0000 0.0000
0.0000 6.8989 3.9803
0.0000 -6.8989 3.9803
Dy Ho Ag Hg Au
1 2 1 3 2
Cartesian
0.0000 0.0000 0.0000 Dy
0.0000 -2.7778 3.1544 Ho
0.0000 2.7778 3.1544 Ho
0.0000 0.0000 4.7542 Ag
1.8635 0.0000 2.5958 Hg
1.8635 -1.8725 5.8383 Hg
1.8635 1.8725 5.8383 Hg
1.8635 -4.5935 4.7593 Au
1.8635 4.5935 4.7593 Au
```

Most intense lines, 2θ = 10–90°, low angle first:
d 2.721, 32.92 deg, intensity 100.0; d 2.607, 34.41 deg, intensity 47.6; d 2.531, 35.47 deg, intensity 71.0; d 2.299, 39.19 deg, intensity 57.0; d 2.136, 42.31 deg, intensity 27.7; d 1.863, 48.88 deg, intensity 20.8; d 1.516, 61.13 deg, intensity 18.6; d 1.456, 63.92 deg, intensity 35.8; d 1.448, 64.36 deg, intensity 26.7; d 1.175, 81.97 deg, intensity 11.7

(7)
Computed PXRD pattern of Co5W for Cu Kα, 1.54184 Å, from a crystal structure in OQMD, relaxed with GGA-PBE.

Atomic structure:
```
Co5W
1.0
4.5942 0.0000 0.0000
-2.2971 3.9787 0.0000
0.0000 0.0000 15.1751
Co W
20 4
Cartesian
-1.1485 1.9893 0.0000 Co
-1.1485 1.9893 7.5876 Co
0.0000 1.2953 3.7938 Co
-1.1753 3.3310 3.7938 Co
1.1218 0.6477 11.3814 Co
0.0000 2.6525 1.9220 Co
0.0000 2.6525 5.6656 Co
0.0000 2.6525 9.9595 Co
0.0000 2.6525 12.8032 Co
2.2971 0.0000 0.0000 Co
2.2971 0.0000 7.5876 Co
1.1485 1.9893 0.0000 Co
1.1485 1.9893 7.5876 Co
2.2971 1.3262 2.3720 Co
2.2971 1.3262 5.2156 Co
2.2971 1.3262 9.5095 Co
2.2971 1.3262 13.2532 Co
1.1753 3.3310 3.7938 Co
3.4724 0.6477 11.3814 Co
2.2971 2.6833 11.3814 Co
0.0000 0.0000 1.4112 W
0.0000 0.0000 6.1764 W
0.0000 0.0000 8.9988 W
0.0000 0.0000 13.7639 W
```

Most intense lines, 2θ = 10–90°, low angle first:
d 3.979, 22.34 deg, intensity 43.1; d 2.746, 32.61 deg, intensity 22.4; d 2.297, 39.22 deg, intensity 55.8; d 2.134, 42.35 deg, intensity 93.9; d 1.965, 46.20 deg, intensity 100.0; d 1.924, 47.23 deg, intensity 53.7; d 1.293, 73.23 deg, intensity 33.9; d 1.252, 76.02 deg, intensity 21.5; d 1.207, 79.43 deg, intensity 25.1; d 1.149, 84.32 deg, intensity 22.6

(8)
Computed PXRD pattern of Nd2Co3Ge5 for Cu Kα, 1.54184 Å, from a crystal structure in OQMD, relaxed with GGA-PBE.

Atomic structure:
```
Nd2Co3Ge5
1.0
5.6413 -5.9612 0.0000
5.6413 5.9612 0.0000
-2.9182 0.0000 5.0658
Nd Co Ge
4 6 10
Cartesian
1.9559 1.6303 1.1869 Nd
0.4968 -1.6303 3.7198 Nd
7.8675 1.6303 1.3460 Nd
6.4084 -1.6303 3.8789 Nd
3.3819 4.3097 1.9433 Co
6.4415 4.3097 0.5896 Co
4.9117 0.0386 1.2664 Co
3.4526 -0.0386 3.7993 Co
1.9228 -4.3097 4.4762 Co
4.9824 -4.3097 3.1225 Co
3.4526 5.8862 3.7993 Ge
1.3611 1.1302 4.2194 Ge
3.4526 2.7424 3.7993 Ge
4.9117 2.6267 1.2664 Ge
2.8202 -1.1302 1.6865 Ge
5.5441 1.1302 3.3793 Ge
3.4526 -2.6267 3.7993 Ge
4.9117 -2.7424 1.2664 Ge
7.0032 -1.1302 0.8464 Ge
4.9117 -5.8862 1.2664 Ge
```

Most intense lines, 2θ = 10–90°, low angle first:
d 2.588, 34.66 deg, intensity 45.2; d 2.550, 35.19 deg, intensity 62.3; d 2.545, 35.27 deg, intensity 92.8; d 2.533, 35.44 deg, intensity 62.0; d 2.484, 36.15 deg, intensity 48.6; d 2.444, 36.77 deg, intensity 18.8; d 2.087, 43.36 deg, intensity 100.0; d 1.781, 51.29 deg, intensity 17.8; d 1.625, 56.66 deg, intensity 19.7; d 1.461, 63.69 deg, intensity 19.1

(9)
Computed PXRD pattern of TlRe6Se8Cl3 for Cu Kα, 1.54184 Å, from a crystal structure in OQMD, relaxed with GGA-PBE.

Atomic structure:
```
TlRe6Se8Cl3
1.0
9.1616 0.0000 0.0000
-0.6839 9.1465 0.0000
-3.8342 -0.4046 10.4915
Tl Re Se Cl
2 12 16 6
Cartesian
-0.3680 3.0746 1.4589 Tl
5.0115 5.6672 9.0325 Tl
-1.2369 0.2121 6.8008 Re
-0.5601 2.0471 8.5446 Re
0.3535 2.1706 6.0770 Re
-0.2976 8.7514 8.7883 Re
0.6156 8.8388 6.3178 Re
2.6247 7.2111 2.4305 Re
2.0188 1.5308 8.0609 Re
4.0279 -0.0970 4.1737 Re
4.9411 -0.0096 1.7031 Re
4.2899 6.5713 4.4144 Re
5.2036 6.6947 1.9469 Re
5.8804 8.5297 3.6907 Re
-2.0726 2.6009 6.6059 Se
-2.0648 0.0957 9.1988 Se
-0.2161 0.3448 4.3787 Se
-0.9849 7.0135 7.0676 Se
2.5100 0.4672 2.2282 Se
1.7998 6.9938 4.8234 Se
3.5503 7.1777 0.0649 Se
1.0467 3.8721 7.8141 Se
3.5968 4.8698 2.6773 Se
1.0932 1.5642 10.4266 Se
2.8437 1.7481 5.6680 Se
2.1335 8.2747 8.2633 Se
5.6284 1.7284 3.4239 Se
4.8596 8.3970 6.1128 Se
6.7083 8.6461 1.2927 Se
6.7161 6.1409 3.8856 Se
0.4944 6.3481 1.6515 Cl
-1.7929 3.5894 9.9738 Cl
0.3445 3.8680 4.3730 Cl
4.2990 4.8738 6.1185 Cl
6.4364 5.1525 0.5177 Cl
4.1491 2.3938 8.8400 Cl
```

Most intense lines, 2θ = 10–90°, low angle first:
d 8.576, 10.32 deg, intensity 48.7; d 8.160, 10.84 deg, intensity 57.1; d 7.027, 12.60 deg, intensity 84.9; d 6.242, 14.19 deg, intensity 100.0; d 6.009, 14.74 deg, intensity 69.4; d 5.740, 15.44 deg, intensity 38.9; d 2.722, 32.90 deg, intensity 27.6; d 2.287, 39.40 deg, intensity 30.6; d 2.050, 44.19 deg, intensity 34.4; d 2.028, 44.70 deg, intensity 76.2

(10)
Computed PXRD pattern of Rb4Cd3In for Cu Kα, 1.54184 Å, from a crystal structure in OQMD, relaxed with GGA-PBE.

Atomic structure:
```
Rb4Cd3In
1.0
5.9578 0.0000 0.0000
0.0000 5.9578 0.0000
0.0000 0.0000 8.3998
Rb Cd In
4 3 1
Cartesian
0.0000 0.0000 0.0000 Rb
0.0000 2.9789 6.2829 Rb
2.9789 0.0000 2.1169 Rb
2.9789 2.9789 4.1999 Rb
0.0000 0.0000 4.1999 Cd
0.0000 2.9789 1.9941 Cd
2.9789 0.0000 6.4057 Cd
2.9789 2.9789 0.0000 In
```

Most intense lines, 2θ = 10–90°, low angle first:
d 2.976, 30.03 deg, intensity 100.0; d 2.106, 42.94 deg, intensity 12.3; d 2.100, 43.08 deg, intensity 5.9; d 1.718, 53.32 deg, intensity 37.8; d 1.489, 62.34 deg, intensity 3.9; d 1.487, 62.45 deg, intensity 7.6; d 1.332, 70.73 deg, intensity 10.7; d 1.329, 70.94 deg, intensity 5.0; d 1.125, 86.48 deg, intensity 12.6; d 1.124, 86.64 deg, intensity 6.0

(11)
Computed PXRD pattern of Li8CdHg2 for Cu Kα, 1.54184 Å, from a crystal structure in OQMD, relaxed with GGA-PBE.

Atomic structure:
```
Li8CdHg2
1.0
3.9394 -2.2774 0.0000
3.9394 2.2774 0.0000
-2.6136 0.0000 10.3532
Li Cd Hg
8 1 2
Cartesian
0.0040 0.0000 2.8081 Li
0.0061 0.0000 5.5880 Li
0.0098 0.0000 8.4129 Li
2.6282 0.0000 0.9424 Li
2.6371 0.0000 9.4108 Li
5.2555 0.0000 1.9403 Li
5.2591 0.0000 4.7652 Li
5.2613 0.0000 7.5451 Li
0.0000 0.0000 0.0000 Cd
2.6320 0.0000 3.6611 Hg
2.6333 0.0000 6.6921 Hg
```

Most intense lines, 2θ = 10–90°, low angle first:
d 3.911, 22.74 deg, intensity 38.5; d 3.821, 23.28 deg, intensity 100.0; d 3.515, 25.34 deg, intensity 25.8; d 3.451, 25.82 deg, intensity 31.5; d 2.947, 30.33 deg, intensity 29.8; d 2.295, 39.25 deg, intensity 42.6; d 2.276, 39.60 deg, intensity 43.2; d 1.955, 46.44 deg, intensity 16.3; d 1.900, 47.88 deg, intensity 36.2; d 1.318, 71.61 deg, intensity 14.6